For Cs3VO3, a DFT-relaxed cell (PBE+U, Alexandria) gives the calculated powder X-ray diffraction pattern in this record (copper Kα).

Atomic structure:
```
28
Lattice="8.211 0.000 0.000 0.000 7.288 0.000 -1.001 0.000 11.607" Properties=species:S:1:pos:R:3 pbc="T T T"
Cs 0.180 0.884 1.874
Cs -0.320 2.760 7.677
Cs 1.859 1.232 10.796
Cs 2.360 2.412 4.993
Cs 2.282 4.889 9.400
Cs 2.783 6.042 3.597
Cs 4.427 1.246 8.010
Cs 4.928 2.398 2.207
Cs 4.851 4.876 6.614
Cs 5.351 6.056 0.811
Cs 7.530 4.528 3.930
Cs 7.030 6.403 9.733
V 1.179 4.247 0.776
V 0.679 6.685 6.580
V 6.531 0.603 5.027
V 6.031 3.041 10.830
O 0.330 0.382 4.858
O -0.171 3.262 10.662
O 1.453 4.977 6.310
O 1.953 5.954 0.507
O 1.562 0.288 7.996
O 2.062 3.356 2.193
O 5.148 3.932 9.414
O 5.648 7.000 3.611
O 5.257 1.334 11.100
O 5.757 2.310 5.297
O 7.381 4.025 0.945
O 6.880 6.906 6.748
```

Principal peaks in the range 15° ≤ 2θ ≤ 90°, sorted by position:
hkl, two_theta, intensity
1 1 2, 23.04, 22
1 1 -3, 27.51, 43
2 0 2, 27.74, 50
1 2 1, 28.15, 100
2 1 -2, 28.37, 68
3 0 0, 32.85, 19
0 1 4, 33.23, 58
3 1 -1, 35.37, 20
1 3 -3, 44.94, 22
3 2 3, 49.36, 23